No. 1
RbTbPb2F8: simulated PXRD pattern (Cu Kα (λ = 1.5418 Å)), based on a structure optimized by DFT (PBE).
Peak positions follow from Bragg's law for the DFT cell and can differ from measured ones.

Structure:
```
data_RbTbPb2F8
_chemical_formula_sum 'Rb1 Tb1 Pb2 F8'
_symmetry_space_group_name_H-M 'P m m m'
_symmetry_Int_Tables_number 47
_cell_length_a 4.143
_cell_length_b 6.084
_cell_length_c 8.368
_cell_angle_alpha 90.00
_cell_angle_beta 90.00
_cell_angle_gamma 90.00
loop_
_symmetry_equiv_pos_as_xyz
'x,y,z'
'-x,-y,-z'
'-x,-y,z'
'x,y,-z'
'x,-y,-z'
'-x,y,z'
'-x,y,-z'
'x,-y,z'
loop_
_atom_site_label
_atom_site_type_symbol
_atom_site_fract_x
_atom_site_fract_y
_atom_site_fract_z
Rb1 Rb 0.000 0.000 0.000
Tb1 Tb 0.000 0.000 0.500
Pb1 Pb 0.500 0.500 0.246
F1 F 0.000 0.244 0.292
F2 F 0.500 0.203 0.500
F3 F 0.500 0.287 0.000
```

Most intense lines, 2θ = 5–70°, in order of rising 2θ:
index	2θ/deg	d [Å]	Rel. int.
0 1 2	25.84	3.448	100
1 1 0	26.02	3.425	99
1 0 2	30.36	2.944	39
1 2 2	42.74	2.116	77
1 1 4	51.17	1.785	31
2 1 2	51.46	1.776	31

No. 2
RbTbPbF6: simulated PXRD pattern (Cu Kα (λ = 1.5418 Å)), based on a structure optimized by DFT (PBE).
Peak positions follow from Bragg's law for the DFT cell and can differ from measured ones.

Structure:
```
data_RbTbPbF6
_chemical_formula_sum 'Rb4 Tb4 Pb4 F24'
_symmetry_space_group_name_H-M 'I m m a'
_symmetry_Int_Tables_number 74
_symmetry_space_group_name_Hall '-I 2b 2'
_cell_length_a 8.011
_cell_length_b 8.198
_cell_length_c 11.455
_cell_angle_alpha 90.00
_cell_angle_beta 90.00
_cell_angle_gamma 90.00
loop_
_atom_site_label
_atom_site_type_symbol
_atom_site_fract_x
_atom_site_fract_y
_atom_site_fract_z
Rb1 Rb 0.000 0.250 0.144
Tb1 Tb 0.000 0.000 0.500
Pb1 Pb 0.250 0.250 0.750
F1 F 0.000 0.250 0.571
F2 F 0.000 0.250 0.867
F3 F 0.193 0.027 0.367
```

Most intense lines, 2θ = 5–70°, in order of rising 2θ:
index	2θ/deg	d [Å]	Rel. int.
0 1 1	13.28	6.667	81
1 2 1	25.62	3.477	85
2 1 1	25.95	3.433	93
0 2 2	26.74	3.333	99
2 0 2	27.17	3.282	93
2 2 4	44.75	2.025	100

No. 3
Rb2TlPbF6: simulated PXRD pattern (Cu Kα (λ = 1.5418 Å)), based on a structure optimized by DFT (PBE).
Peak positions follow from Bragg's law for the DFT cell and can differ from measured ones.

Structure:
```
data_Rb2TlPbF6
_chemical_formula_sum 'Rb4 Tl2 Pb2 F12'
_symmetry_space_group_name_H-M 'C 1 2 1'
_symmetry_Int_Tables_number 5
_cell_length_a 11.597
_cell_length_b 6.713
_cell_length_c 6.752
_cell_angle_alpha 90.00
_cell_angle_beta 125.59
_cell_angle_gamma 90.00
loop_
_symmetry_equiv_pos_as_xyz
'x,y,z'
'-x,y,-z'
'x+1/2,y+1/2,z'
'-x+1/2,y+1/2,-z'
loop_
_atom_site_label
_atom_site_type_symbol
_atom_site_fract_x
_atom_site_fract_y
_atom_site_fract_z
Rb1 Rb 0.250 0.000 0.235
Tl1 Tl 0.000 0.508 0.000
Pb1 Pb 0.000 0.008 0.500
F1 F 0.053 0.253 0.802
F2 F 0.053 0.757 0.796
F3 F 0.247 0.025 0.654
```

Most intense lines, 2θ = 5–70°, in order of rising 2θ:
index	2θ/deg	d [Å]	Rel. int.
1 1 -1	18.64	4.761	22
2 0 -2	26.40	3.376	18
1 1 1	26.60	3.351	100
2 2 -2	37.80	2.380	24
1 1 -3	46.72	1.944	20
2 0 2	46.93	1.936	22

No. 4
Rb2TmPbF6: simulated PXRD pattern (Cu Kα (λ = 1.5418 Å)), based on a structure optimized by DFT (PBE).
Peak positions follow from Bragg's law for the DFT cell and can differ from measured ones.

Structure:
```
data_Rb2TmPbF6
_chemical_formula_sum 'Rb4 Tm2 Pb2 F12'
_symmetry_space_group_name_H-M 'P m m n'
_symmetry_Int_Tables_number 59
_cell_length_a 6.300
_cell_length_b 9.003
_cell_length_c 7.788
_cell_angle_alpha 90.00
_cell_angle_beta 90.00
_cell_angle_gamma 90.00
loop_
_symmetry_equiv_pos_as_xyz
'x,y,z'
'-x,-y,-z'
'-x+1/2,-y+1/2,z'
'x+1/2,y+1/2,-z'
'x+1/2,-y,-z'
'-x+1/2,y,z'
'-x,y+1/2,-z'
'x,-y+1/2,z'
loop_
_atom_site_label
_atom_site_type_symbol
_atom_site_fract_x
_atom_site_fract_y
_atom_site_fract_z
Rb1 Rb 0.250 0.014 0.180
Tm1 Tm 0.250 0.750 0.779
Pb1 Pb 0.250 0.250 0.691
F1 F 0.016 0.250 0.389
F2 F 0.017 0.750 0.982
F3 F 0.250 0.510 0.795
```

Most intense lines, 2θ = 5–70°, in order of rising 2θ:
index	2θ/deg	d [Å]	Rel. int.
1 0 1	18.11	4.898	29
0 0 2	22.83	3.894	30
1 2 1	26.90	3.314	100
2 0 0	28.33	3.150	24
2 0 2	36.69	2.449	27
0 4 0	40.07	2.250	24

No. 5
RbYPbF6: simulated PXRD pattern (Cu Kα (λ = 1.5418 Å)), based on a structure optimized by DFT (PBE).
Peak positions follow from Bragg's law for the DFT cell and can differ from measured ones.

Structure:
```
data_RbYPbF6
_chemical_formula_sum 'Rb4 Y4 Pb4 F24'
_symmetry_space_group_name_H-M 'I m m a'
_symmetry_Int_Tables_number 74
_symmetry_space_group_name_Hall '-I 2b 2'
_cell_length_a 8.008
_cell_length_b 8.184
_cell_length_c 11.418
_cell_angle_alpha 90.00
_cell_angle_beta 90.00
_cell_angle_gamma 90.00
loop_
_atom_site_label
_atom_site_type_symbol
_atom_site_fract_x
_atom_site_fract_y
_atom_site_fract_z
Rb1 Rb 0.000 0.250 0.144
Y1 Y 0.000 0.000 0.500
Pb1 Pb 0.250 0.250 0.750
F1 F 0.000 0.250 0.571
F2 F 0.000 0.250 0.867
F3 F 0.192 0.027 0.367
```

Most intense lines, 2θ = 5–70°, in order of rising 2θ:
index	2θ/deg	d [Å]	Rel. int.
0 1 1	13.31	6.652	69
1 2 1	25.66	3.472	37
2 1 1	25.96	3.432	100
0 2 2	26.80	3.326	57
2 0 2	27.20	3.278	53
2 2 4	44.85	2.021	64

No. 6
RbYPb2F8: simulated PXRD pattern (Cu Kα (λ = 1.5418 Å)), based on a structure optimized by DFT (PBE).
Peak positions follow from Bragg's law for the DFT cell and can differ from measured ones.

Structure:
```
data_RbYPb2F8
_chemical_formula_sum 'Rb1 Y1 Pb2 F8'
_symmetry_space_group_name_H-M 'P 1 2/m 1'
_symmetry_Int_Tables_number 10
_cell_length_a 4.147
_cell_length_b 8.354
_cell_length_c 6.076
_cell_angle_alpha 90.00
_cell_angle_beta 90.06
_cell_angle_gamma 90.00
loop_
_symmetry_equiv_pos_as_xyz
'x,y,z'
'-x,-y,-z'
'-x,y,-z'
'x,-y,z'
loop_
_atom_site_label
_atom_site_type_symbol
_atom_site_fract_x
_atom_site_fract_y
_atom_site_fract_z
Rb1 Rb 0.000 0.000 0.000
Y1 Y 0.000 0.500 0.000
Pb1 Pb 0.500 0.246 0.500
F1 F 0.000 0.292 0.243
F2 F 0.499 0.000 0.714
F3 F 0.500 0.500 0.203
```

Most intense lines, 2θ = 5–70°, in order of rising 2θ:
index	2θ/deg	d [Å]	Rel. int.
0 2 1	25.88	3.442	100
1 0 1	26.01	3.425	99
1 2 0	30.37	2.943	37
1 2 2	42.78	2.114	79
0 2 3	50.09	1.821	34
1 4 1	51.23	1.783	31

No. 7
Rh2PbF11: simulated PXRD pattern (Cu Kα (λ = 1.5418 Å)), based on a structure optimized by DFT (PBE).
Peak positions follow from Bragg's law for the DFT cell and can differ from measured ones.

Structure:
```
data_Rh2PbF11
_chemical_formula_sum 'Rh8 Pb4 F44'
_symmetry_space_group_name_H-M 'I b a m'
_symmetry_Int_Tables_number 72
_symmetry_space_group_name_Hall '-I 2 2c'
_cell_length_a 9.095
_cell_length_b 9.147
_cell_length_c 10.753
_cell_angle_alpha 90.00
_cell_angle_beta 90.00
_cell_angle_gamma 90.00
loop_
_atom_site_label
_atom_site_type_symbol
_atom_site_fract_x
_atom_site_fract_y
_atom_site_fract_z
Rh1 Rh 0.156 0.156 0.000
Pb1 Pb 0.000 0.500 0.250
F1 F 0.000 0.000 0.000
F2 F 0.052 0.264 0.127
F3 F 0.201 0.200 0.500
F4 F 0.236 0.447 0.373
```

Most intense lines, 2θ = 5–70°, in order of rising 2θ:
index	2θ/deg	d [Å]	Rel. int.
1 1 0	13.73	6.449	24
1 1 2	21.52	4.130	100
2 1 1	23.32	3.814	58
0 2 2	25.61	3.478	67
2 2 4	43.84	2.065	31
3 3 2	45.44	1.996	33

No. 8
PbS5F: simulated PXRD pattern (Cu Kα (λ = 1.5418 Å)), based on a structure optimized by DFT (PBE).
Peak positions follow from Bragg's law for the DFT cell and can differ from measured ones.

Structure:
```
data_PbS5F
_chemical_formula_sum 'Pb2 S10 F2'
_symmetry_space_group_name_H-M 'C 1 2 1'
_symmetry_Int_Tables_number 5
_cell_length_a 5.525
_cell_length_b 19.637
_cell_length_c 4.388
_cell_angle_alpha 90.00
_cell_angle_beta 113.98
_cell_angle_gamma 90.00
loop_
_symmetry_equiv_pos_as_xyz
'x,y,z'
'-x,y,-z'
'x+1/2,y+1/2,z'
'-x+1/2,y+1/2,-z'
loop_
_atom_site_label
_atom_site_type_symbol
_atom_site_fract_x
_atom_site_fract_y
_atom_site_fract_z
Pb1 Pb 0.000 0.000 0.000
S1 S 0.000 0.277 0.000
S2 S 0.093 0.601 0.752
S3 S 0.148 0.341 0.741
F1 F 0.000 0.959 0.500
```

Most intense lines, 2θ = 5–70°, in order of rising 2θ:
index	2θ/deg	d [Å]	Rel. int.
0 2 0	9.01	9.818	93
0 4 0	18.12	4.897	47
1 3 0	22.23	4.000	100
1 1 -1	22.47	3.957	46
1 5 0	28.78	3.102	46
2 4 -1	38.22	2.355	20

No. 9
Pb2SF2: simulated PXRD pattern (Cu Kα (λ = 1.5418 Å)), based on a structure optimized by DFT (PBE).
Peak positions follow from Bragg's law for the DFT cell and can differ from measured ones.

Structure:
```
data_Pb2SF2
_chemical_formula_sum 'Pb8 S4 F8'
_symmetry_space_group_name_H-M 'C m c 21'
_symmetry_Int_Tables_number 36
_cell_length_a 3.997
_cell_length_b 14.139
_cell_length_c 7.675
_cell_angle_alpha 90.00
_cell_angle_beta 90.00
_cell_angle_gamma 90.00
loop_
_symmetry_equiv_pos_as_xyz
'x,y,z'
'-x,-y,z+1/2'
'-x,y,z'
'x,-y,z+1/2'
'x+1/2,y+1/2,z'
'-x+1/2,-y+1/2,z+1/2'
'-x+1/2,y+1/2,z'
'x+1/2,-y+1/2,z+1/2'
loop_
_atom_site_label
_atom_site_type_symbol
_atom_site_fract_x
_atom_site_fract_y
_atom_site_fract_z
Pb1 Pb 0.000 0.034 0.000
Pb2 Pb 0.000 0.287 0.899
S1 S 0.000 0.428 0.153
F1 F 0.000 0.113 0.303
F2 F 0.000 0.286 0.554
```

Most intense lines, 2θ = 5–70°, in order of rising 2θ:
index	2θ/deg	d [Å]	Rel. int.
0 0 2	23.16	3.840	89
1 1 1	25.91	3.438	100
0 2 2	26.43	3.373	46
0 4 1	27.79	3.211	72
1 3 0	29.30	3.048	68
1 3 2	37.69	2.387	53

No. 10
PbSF: simulated PXRD pattern (Cu Kα (λ = 1.5418 Å)), based on a structure optimized by DFT (PBE).
Peak positions follow from Bragg's law for the DFT cell and can differ from measured ones.

Structure:
```
data_PbSF
_chemical_formula_sum 'Pb2 S2 F2'
_symmetry_space_group_name_H-M 'P 1 21/m 1'
_symmetry_Int_Tables_number 11
_cell_length_a 4.187
_cell_length_b 4.661
_cell_length_c 6.948
_cell_angle_alpha 90.00
_cell_angle_beta 104.07
_cell_angle_gamma 90.00
loop_
_symmetry_equiv_pos_as_xyz
'x,y,z'
'-x,-y,-z'
'-x,y+1/2,-z'
'x,-y+1/2,z'
loop_
_atom_site_label
_atom_site_type_symbol
_atom_site_fract_x
_atom_site_fract_y
_atom_site_fract_z
Pb1 Pb 0.170 0.250 0.297
S1 S 0.433 0.750 0.009
F1 F 0.201 0.750 0.460
```

Most intense lines, 2θ = 5–70°, in order of rising 2θ:
index	2θ/deg	d [Å]	Rel. int.
0 1 1	23.20	3.834	100
1 0 1	28.28	3.156	52
1 1 0	29.16	3.062	34
1 1 -1	29.75	3.003	31
1 0 -2	30.06	2.973	35
1 1 2	43.42	2.084	29

No. 11
TlPbSF: simulated PXRD pattern (Cu Kα (λ = 1.5418 Å)), based on a structure optimized by DFT (PBE).
Peak positions follow from Bragg's law for the DFT cell and can differ from measured ones.

Structure:
```
data_TlPbSF
_chemical_formula_sum 'Tl6 Pb6 S6 F6'
_symmetry_space_group_name_H-M 'R -3 m'
_symmetry_Int_Tables_number 166
_symmetry_space_group_name_Hall '-R 3 2"'
_cell_length_a 4.9884
_cell_length_b 4.9884
_cell_length_c 31.8541
_cell_angle_alpha 90.00
_cell_angle_beta 90.00
_cell_angle_gamma 120.00
loop_
_atom_site_label
_atom_site_type_symbol
_atom_site_fract_x
_atom_site_fract_y
_atom_site_fract_z
Tl1 Tl 0.0000 0.0000 0.1233
Pb1 Pb 0.0000 0.0000 0.2892
S1 S 0.0000 0.0000 0.3795
F1 F 0.0000 0.0000 0.2023
```

Most intense lines, 2θ = 5–70°, in order of rising 2θ:
index	2θ/deg	d [Å]	Rel. int.
0 1 2	21.31	4.169	62
0 1 5	24.90	3.576	100
1 0 7	28.49	3.133	73
0 0 12	33.77	2.655	37
1 1 0	36.01	2.494	96
1 1 12	50.19	1.818	72

No. 12
SbPbF5: simulated PXRD pattern (Cu Kα (λ = 1.5418 Å)), based on a structure optimized by DFT (PBE).
Peak positions follow from Bragg's law for the DFT cell and can differ from measured ones.

Structure:
```
data_SbPbF5
_chemical_formula_sum 'Sb4 Pb4 F20'
_symmetry_space_group_name_H-M 'P 1 21/c 1'
_symmetry_Int_Tables_number 14
_cell_length_a 6.530
_cell_length_b 11.202
_cell_length_c 8.763
_cell_angle_alpha 90.00
_cell_angle_beta 109.27
_cell_angle_gamma 90.00
loop_
_symmetry_equiv_pos_as_xyz
'x,y,z'
'-x,-y,-z'
'-x,y+1/2,-z+1/2'
'x,-y+1/2,z+1/2'
loop_
_atom_site_label
_atom_site_type_symbol
_atom_site_fract_x
_atom_site_fract_y
_atom_site_fract_z
Sb1 Sb 0.005 0.011 0.273
Pb1 Pb 0.443 0.743 0.620
F1 F 0.133 0.591 0.971
F2 F 0.148 0.584 0.643
F3 F 0.227 0.126 0.783
F4 F 0.311 0.096 0.369
F5 F 0.362 0.677 0.349
```

Most intense lines, 2θ = 5–70°, in order of rising 2θ:
index	2θ/deg	d [Å]	Rel. int.
1 2 0	21.44	4.145	100
0 1 2	22.96	3.874	62
1 2 -2	26.84	3.322	21
0 4 0	31.95	2.801	12
1 3 -2	32.33	2.769	17
2 4 0	43.67	2.073	13